Structure and simulated powder diffractogram of Ni2PdO (the GGA+U geometry in Alexandria; Cu Ka).
Intensities are scaled so that the largest is 1000.

Structure:
```
data_Ni2PdO
_chemical_formula_sum 'Ni8 Pd4 O4'
_symmetry_space_group_name_H-M 'I -4 2 d'
_symmetry_Int_Tables_number 122
_symmetry_space_group_name_Hall 'I -4 2bw'
_cell_length_a 5.861
_cell_length_b 5.861
_cell_length_c 6.754
_cell_angle_alpha 90.00
_cell_angle_beta 90.00
_cell_angle_gamma 90.00
loop_
_atom_site_label
_atom_site_type_symbol
_atom_site_fract_x
_atom_site_fract_y
_atom_site_fract_z
Ni1 Ni 0.156 0.250 0.125
Pd1 Pd 0.000 0.000 0.500
O1 O 0.000 0.000 0.000
```

The 10 most intense peaks (2θ = 10–90°), low angle first:
Position (°2θ), I (rel.)
20.1, 106
34.3, 1000
36.8, 831
43.0, 197
43.7, 275
48.5, 224
56.7, 276
63.6, 253
71.6, 205
83.8, 107